# 1
Starting from a GGA-PBE-relaxed structure, the XRD peak list of Cr2Te6Rh was computed for Cu Kα (weighted mean of Kα1 and Kα2).
Peak positions follow from Bragg's law for the DFT cell and can differ from measured ones.

Crystal structure
abc: 6.6579 6.6579 6.0351
angles: 90.00 90.00 120.00
Space group P-31m (No. 162)
Inequivalent atoms, fractional coordinates:
Cr (0.3333, 0.6667, 0.0000)
Te (0.0000, 0.3329, 0.2521)
Rh (0.0000, 0.0000, 0.0000)

Peak list (8 most intense, 15 to 90 degrees two-theta, by angle)
2θ (°), I/Imax
29.60, 11
30.67, 100
40.34, 35
47.30, 29
53.20, 20
57.43, 16
77.49, 13
81.02, 12


# 2
Starting from a GGA-PBE-relaxed structure, the XRD peak list of Cs3Sn11 was computed for Cu Kα (weighted mean of Kα1 and Kα2).
Peak positions follow from Bragg's law for the DFT cell and can differ from measured ones.

Crystal structure
abc: 4.9519 14.0339 14.1364
angles: 90.00 90.00 90.00
Space group Immm (No. 71)
Inequivalent atoms, fractional coordinates:
Cs (0.0000, 0.0000, 0.0000)
Cs (0.0000, 0.0000, 0.2739)
Sn (0.0000, 0.1539, 0.5000)
Sn (0.0000, 0.2921, 0.1541)
Sn (0.0000, 0.3322, 0.3757)
Sn (0.0000, 0.5000, 0.0000)

Peak list (8 most intense, 15 to 90 degrees two-theta, by angle)
2θ (°), I/Imax
26.21, 59
28.27, 58
29.11, 100
31.75, 47
31.90, 46
36.28, 51
36.67, 40
46.62, 30


# 3
Starting from a GGA-PBE-relaxed structure, the XRD peak list of TcNi2HW was computed for Cu Kα (weighted mean of Kα1 and Kα2).
Peak positions follow from Bragg's law for the DFT cell and can differ from measured ones.

Crystal structure
abc: 3.6791 3.6791 4.0257
angles: 90.00 90.00 90.00
Space group P4/mmm (No. 123)
Inequivalent atoms, fractional coordinates:
Tc (0.0000, 0.0000, 0.0000)
Ni (0.0000, 0.5000, 0.5000)
H (0.5000, 0.5000, 0.5000)
W (0.5000, 0.5000, 0.0000)

Peak list (8 most intense, 15 to 90 degrees two-theta, by angle)
2θ (°), I/Imax
22.08, 17
34.47, 11
41.32, 100
45.04, 20
49.55, 30
69.18, 21
80.55, 14
87.22, 23


# 4
Starting from a GGA-PBE-relaxed structure, the XRD peak list of La2Pr2Tl7 was computed for Cu Kα (weighted mean of Kα1 and Kα2).
Peak positions follow from Bragg's law for the DFT cell and can differ from measured ones.

Crystal structure
abc: 11.5000 11.9246 5.2415
angles: 90.00 104.40 90.00
Space group C2/m (No. 12)
Inequivalent atoms, fractional coordinates:
La (0.0000, 0.2305, 0.0000)
Pr (0.2455, 0.0000, 0.1676)
Tl (0.0000, 0.0000, 0.5000)
Tl (0.0693, 0.5000, 0.2763)
Tl (0.2099, 0.1813, 0.6911)

Peak list (8 most intense, 15 to 90 degrees two-theta, by angle)
2θ (°), I/Imax
29.97, 27
30.55, 96
30.84, 45
32.14, 28
32.60, 25
34.53, 100
35.05, 59
56.53, 24


# 5
Starting from a GGA-PBE-relaxed structure, the XRD peak list of Ac3Pr3Ag4 was computed for Cu Kα (weighted mean of Kα1 and Kα2).
Peak positions follow from Bragg's law for the DFT cell and can differ from measured ones.

Crystal structure
abc: 4.0982 12.4833 12.4598
angles: 90.00 90.00 90.00
Space group Amm2 (No. 38)
Inequivalent atoms, fractional coordinates:
Ac (0.0000, 0.0000, 0.0000)
Ac (0.0000, 0.1711, 0.3340)
Pr (0.0000, 0.0000, 0.6606)
Pr (0.5000, 0.2444, 0.5854)
Ag (0.5000, 0.0000, 0.2091)
Ag (0.5000, 0.0000, 0.4613)
Ag (0.5000, 0.1207, 0.8260)

Peak list (8 most intense, 15 to 90 degrees two-theta, by angle)
2θ (°), I/Imax
29.76, 37
31.48, 100
32.10, 46
44.20, 14
47.98, 15
55.66, 19
57.87, 12
60.93, 13